Simulated powder XRD pattern of PmTlBrO for Cu Ka, from DFT lattice parameters and positions (GGA-PBE).
Peak positions follow from Bragg's law for the DFT cell and can differ from measured ones.

The 12 most intense peaks (2θ from 10° to 90°), low angle first:
12.3 deg, d 7.184, I 100, hkl 0 0 2; 18.5 deg, d 4.789, I 42, hkl 0 0 3; 28.6 deg, d 3.124, I 35, hkl 1 0 3; 31.3 deg, d 2.855, I 94, hkl 1 1 1; 33.1 deg, d 2.704, I 60, hkl 1 0 4; 39.8 deg, d 2.263, I 29, hkl 1 1 4; 43.9 deg, d 2.060, I 31, hkl 2 0 0; 45.8 deg, d 1.980, I 16, hkl 2 0 2; 49.3 deg, d 1.850, I 22, hkl 1 1 6; 60.6 deg, d 1.529, I 19, hkl 1 1 8; 64.0 deg, d 1.454, I 15, hkl 2 0 7; 72.9 deg, d 1.298, I 17, hkl 3 1 1

Structure:
Cell lengths 4.120, 4.120, 14.368 Å; angles 90.00, 90.00, 90.00 degrees
Space group P4/nmm (No. 129, origin choice 2)
Asymmetric unit:
Pm: 0.250 0.250 0.078 x2
Tl: 0.250 0.750 0.500 x2
Br: 0.250 0.250 0.808 x2
O: 0.250 0.750 0.000 x2